SrCd4O5: computed powder X-ray diffraction pattern (a wavelength of 1.5418 Å), based on a GGA-PBE-relaxed structure.
Lines closer than 0.1° are merged.

Crystal structure
Unit cell a=5.9280 b=5.9280 c=8.3996 alpha=117.63 beta=117.63 gamma=33.87
Atoms (fractional coordinates):
Sr1 0.0000 0.0000 0.0000
Cd1 0.1959 0.1959 0.7949
Cd2 0.3980 0.3980 0.5929
Cd3 0.6020 0.6020 0.4071
Cd4 0.8041 0.8041 0.2051
O1 0.0000 0.0000 0.5000
O2 0.2050 0.2050 0.3082
O3 0.3961 0.3961 0.1098
O4 0.6039 0.6039 0.8902
O5 0.7950 0.7950 0.6918

Peak list (10 most intense, 5 to 70 degrees two-theta, in order of rising 2θ)
| 2θ (°) | d/Å | I_rel |
| --- | --- | --- |
| 31.7 | 2.819 | 82.0 |
| 32.0 | 2.798 | 80.5 |
| 36.8 | 2.440 | 50.3 |
| 37.0 | 2.428 | 100.0 |
| 53.0 | 1.727 | 16.6 |
| 53.2 | 1.721 | 64.7 |
| 63.2 | 1.471 | 22.8 |
| 63.3 | 1.469 | 22.7 |
| 63.7 | 1.460 | 22.7 |
| 66.3 | 1.410 | 16.0 |

=====

SrCd2TcO6: computed powder X-ray diffraction pattern (a wavelength of 1.5418 Å), based on a GGA-PBE-relaxed structure.
Lines closer than 0.1° are merged.

Crystal structure
Unit cell a=5.7545 b=5.8268 c=10.1276 alpha=90.00 beta=124.24 gamma=90.00
Atoms (fractional coordinates):
Sr1 0.0000 0.0000 0.0000
Sr2 0.0000 0.5000 0.5000
Cd1 0.2177 0.0294 0.7331
Cd2 0.2177 0.4706 0.2331
Cd3 0.7823 0.5294 0.7669
Cd4 0.7823 0.9706 0.2669
Tc1 0.5000 0.0000 0.5000
Tc2 0.5000 0.5000 0.0000
O1 0.1772 0.1002 0.2836
O2 0.1772 0.3998 0.7836
O3 0.2410 0.6397 0.0399
O4 0.2410 0.8603 0.5399
O5 0.4625 0.2200 0.0837
O6 0.4625 0.2800 0.5837
O7 0.5375 0.7200 0.4163
O8 0.5375 0.7800 0.9163
O9 0.7590 0.1397 0.4601
O10 0.7590 0.3603 0.9601
O11 0.8228 0.6002 0.2164
O12 0.8228 0.8998 0.7164

Peak list (10 most intense, 5 to 70 degrees two-theta, in order of rising 2θ)
| 2θ (°) | d/Å | I_rel |
| --- | --- | --- |
| 30.5 | 2.934 | 65.1 |
| 30.6 | 2.918 | 100.0 |
| 31.1 | 2.877 | 34.4 |
| 43.2 | 2.093 | 15.3 |
| 44.2 | 2.047 | 26.6 |
| 54.0 | 1.699 | 21.3 |
| 54.4 | 1.686 | 19.4 |
| 54.5 | 1.683 | 13.9 |
| 54.8 | 1.674 | 13.0 |
| 55.1 | 1.667 | 17.1 |

=====

TbCd2TcO6: computed powder X-ray diffraction pattern (a wavelength of 1.5418 Å), based on a GGA-PBE-relaxed structure.
Lines closer than 0.1° are merged.

Crystal structure
Unit cell a=5.7292 b=5.7292 c=4.6570 alpha=90.00 beta=90.00 gamma=90.00
Atoms (fractional coordinates):
Tb1 0.0000 0.0000 0.0000
Cd1 0.0000 0.5000 0.3671
Cd2 0.5000 0.0000 0.3671
Tc1 0.5000 0.5000 0.9631
O1 0.0000 0.0000 0.5312
O2 0.2757 0.2757 0.1046
O3 0.2757 0.7243 0.1046
O4 0.5000 0.5000 0.5954
O5 0.7243 0.2757 0.1046
O6 0.7243 0.7243 0.1046

Peak list (10 most intense, 5 to 70 degrees two-theta, in order of rising 2θ)
| 2θ (°) | d/Å | I_rel |
| --- | --- | --- |
| 19.1 | 4.657 | 18.3 |
| 29.2 | 3.057 | 100.0 |
| 31.2 | 2.865 | 47.1 |
| 44.7 | 2.026 | 27.1 |
| 44.9 | 2.019 | 20.7 |
| 50.5 | 1.807 | 16.9 |
| 54.3 | 1.688 | 34.4 |
| 65.1 | 1.432 | 8.0 |
| 65.3 | 1.430 | 12.5 |
| 68.8 | 1.365 | 8.2 |

=====

TbCd2TeO6: computed powder X-ray diffraction pattern (a wavelength of 1.5418 Å), based on a GGA-PBE-relaxed structure.
Lines closer than 0.1° are merged.

Crystal structure
Unit cell a=5.9878 b=5.9878 c=5.9878 alpha=57.17 beta=57.17 gamma=57.17
Atoms (fractional coordinates):
Tb1 0.0000 0.0000 0.0000
Cd1 0.2199 0.2199 0.2199
Cd2 0.7276 0.7276 0.7276
Te1 0.5060 0.5060 0.5060
O1 0.1485 0.3861 0.7687
O2 0.2977 0.8600 0.6196
O3 0.3861 0.7687 0.1485
O4 0.6196 0.2977 0.8600
O5 0.7687 0.1485 0.3861
O6 0.8600 0.6196 0.2977

Peak list (10 most intense, 5 to 70 degrees two-theta, in order of rising 2θ)
| 2θ (°) | d/Å | I_rel |
| --- | --- | --- |
| 21.5 | 4.136 | 16.4 |
| 29.9 | 2.988 | 100.0 |
| 31.2 | 2.865 | 91.4 |
| 43.8 | 2.068 | 42.5 |
| 48.4 | 1.882 | 22.6 |
| 52.2 | 1.751 | 14.0 |
| 54.7 | 1.677 | 39.0 |
| 55.6 | 1.654 | 26.1 |
| 62.1 | 1.494 | 8.5 |
| 65.1 | 1.433 | 19.9 |

=====

TbCdTe2O8: computed powder X-ray diffraction pattern (a wavelength of 1.5418 Å), based on a GGA-PBE-relaxed structure.
Lines closer than 0.1° are merged.

Crystal structure
Unit cell a=6.2431 b=6.2431 c=6.2431 alpha=107.23 beta=107.23 gamma=114.06
Atoms (fractional coordinates):
Tb1 0.0000 0.0000 0.0000
Cd1 0.2500 0.7500 0.5000
Te1 0.5000 0.5000 0.0000
Te2 0.7500 0.2500 0.5000
O1 0.3071 0.1232 0.8161
O2 0.3071 0.4910 0.1839
O3 0.3746 0.0653 0.3094
O4 0.5090 0.6929 0.8161
O5 0.7559 0.0653 0.6906
O6 0.8768 0.6929 0.1839
O7 0.9347 0.2441 0.3094
O8 0.9347 0.6254 0.6906

Peak list (10 most intense, 5 to 70 degrees two-theta, in order of rising 2θ)
| 2θ (°) | d/Å | I_rel |
| --- | --- | --- |
| 24.0 | 3.704 | 100.0 |
| 31.4 | 2.850 | 80.1 |
| 34.2 | 2.619 | 24.7 |
| 47.1 | 1.928 | 65.2 |
| 49.2 | 1.852 | 16.3 |
| 54.0 | 1.699 | 5.0 |
| 55.5 | 1.656 | 15.6 |
| 59.5 | 1.553 | 19.0 |
| 59.9 | 1.544 | 14.5 |
| 65.5 | 1.425 | 10.9 |

=====

Tl2CdTcO4: computed powder X-ray diffraction pattern (a wavelength of 1.5418 Å), based on a GGA-PBE-relaxed structure.
Lines closer than 0.1° are merged.

Crystal structure
Unit cell a=11.0684 b=10.1869 c=6.7430 alpha=78.78 beta=64.52 gamma=36.70
Atoms (fractional coordinates):
Tl1 0.0688 0.0688 0.6812
Tl2 0.3188 0.3188 0.9312
Tl3 0.6812 0.6812 0.0688
Tl4 0.9312 0.9312 0.3188
Cd1 0.1250 0.1250 0.1250
Cd2 0.8750 0.8750 0.8750
Tc1 0.3750 0.3750 0.3750
Tc2 0.6250 0.6250 0.6250
O1 0.0846 0.5690 0.4769
O2 0.3696 0.4769 0.5690
O3 0.4310 0.9154 0.6304
O4 0.4769 0.3696 0.0846
O5 0.5231 0.6304 0.9154
O6 0.5690 0.0846 0.3696
O7 0.6304 0.5231 0.4310
O8 0.9154 0.4310 0.5231

Peak list (10 most intense, 5 to 70 degrees two-theta, in order of rising 2θ)
| 2θ (°) | d/Å | I_rel |
| --- | --- | --- |
| 18.7 | 4.754 | 37.7 |
| 20.1 | 4.412 | 71.9 |
| 27.6 | 3.234 | 42.4 |
| 29.1 | 3.072 | 100.0 |
| 30.1 | 2.966 | 33.9 |
| 31.6 | 2.833 | 35.0 |
| 32.4 | 2.766 | 35.7 |
| 35.7 | 2.516 | 33.2 |
| 49.9 | 1.829 | 31.2 |
| 50.6 | 1.803 | 27.4 |

=====

YCdTc2O8: computed powder X-ray diffraction pattern (a wavelength of 1.5418 Å), based on a GGA-PBE-relaxed structure.
Lines closer than 0.1° are merged.

Crystal structure
Unit cell a=6.1680 b=6.1680 c=7.7584 alpha=90.00 beta=90.00 gamma=120.00
Atoms (fractional coordinates):
Y1 0.0000 0.0000 0.0000
Cd1 0.0000 0.0000 0.5000
Tc1 0.3333 0.6667 0.2367
Tc2 0.6667 0.3333 0.7633
O1 0.1758 0.3516 0.1620
O2 0.1758 0.8242 0.1620
O3 0.3333 0.6667 0.4592
O4 0.3516 0.1758 0.8380
O5 0.6484 0.8242 0.1620
O6 0.6667 0.3333 0.5408
O7 0.8242 0.1758 0.8380
O8 0.8242 0.6484 0.8380

Peak list (10 most intense, 5 to 70 degrees two-theta, in order of rising 2θ)
| 2θ (°) | d/Å | I_rel |
| --- | --- | --- |
| 16.6 | 5.342 | 16.3 |
| 20.2 | 4.400 | 100.0 |
| 28.4 | 3.139 | 77.9 |
| 29.0 | 3.084 | 74.4 |
| 41.0 | 2.200 | 34.3 |
| 46.5 | 1.954 | 18.3 |
| 51.0 | 1.791 | 28.4 |
| 51.3 | 1.781 | 14.4 |
| 56.0 | 1.642 | 24.2 |
| 60.0 | 1.542 | 14.1 |

=====

CdTeO4: computed powder X-ray diffraction pattern (a wavelength of 1.5418 Å), based on a GGA-PBE-relaxed structure.
Lines closer than 0.1° are merged.

Crystal structure
Unit cell a=5.6494 b=5.6494 c=6.1655 alpha=107.47 beta=107.47 gamma=99.83
Atoms (fractional coordinates):
Cd1 0.1106 0.8894 0.7500
Cd2 0.8894 0.1106 0.2500
Te1 0.4771 0.5229 0.2500
Te2 0.5229 0.4771 0.7500
O1 0.1679 0.2481 0.0837
O2 0.2481 0.1679 0.5837
O3 0.3391 0.6384 0.5268
O4 0.3616 0.6609 0.9732
O5 0.6384 0.3391 0.0268
O6 0.6609 0.3616 0.4732
O7 0.7519 0.8321 0.4163
O8 0.8321 0.7519 0.9163

Peak list (10 most intense, 5 to 70 degrees two-theta, in order of rising 2θ)
| 2θ (°) | d/Å | I_rel |
| --- | --- | --- |
| 20.5 | 4.322 | 91.1 |
| 26.3 | 3.388 | 88.3 |
| 27.7 | 3.218 | 100.0 |
| 31.6 | 2.831 | 51.9 |
| 32.4 | 2.767 | 34.7 |
| 32.8 | 2.727 | 39.0 |
| 34.1 | 2.630 | 33.3 |
| 38.0 | 2.368 | 31.7 |
| 43.0 | 2.104 | 48.4 |
| 53.2 | 1.722 | 28.1 |

=====

CdTe2O5: computed powder X-ray diffraction pattern (a wavelength of 1.5418 Å), based on a GGA-PBE-relaxed structure.
Lines closer than 0.1° are merged.

Crystal structure
Unit cell a=7.5216 b=11.5567 c=6.4768 alpha=90.00 beta=90.00 gamma=90.00
Atoms (fractional coordinates):
Cd1 0.0000 0.0612 0.2500
Cd2 0.0000 0.9388 0.7500
Cd3 0.5000 0.4388 0.7500
Cd4 0.5000 0.5612 0.2500
Te1 0.1328 0.3427 0.0293
Te2 0.1328 0.6573 0.5293
Te3 0.3672 0.1573 0.5293
Te4 0.3672 0.8427 0.0293
Te5 0.6328 0.1573 0.9707
Te6 0.6328 0.8427 0.4707
Te7 0.8672 0.3427 0.4707
Te8 0.8672 0.6573 0.9707
O1 0.0000 0.4303 0.2500
O2 0.0000 0.5697 0.7500
O3 0.1602 0.0667 0.5496
O4 0.1602 0.9333 0.0496
O5 0.2032 0.2170 0.1964
O6 0.2032 0.7830 0.6964
O7 0.2968 0.2830 0.6964
O8 0.2968 0.7170 0.1964
O9 0.3398 0.4333 0.0496
O10 0.3398 0.5667 0.5496
O11 0.5000 0.0697 0.7500
O12 0.5000 0.9303 0.2500
O13 0.6602 0.4333 0.4504
O14 0.6602 0.5667 0.9504
O15 0.7032 0.2830 0.8036
O16 0.7032 0.7170 0.3036
O17 0.7968 0.2170 0.3036
O18 0.7968 0.7830 0.8036
O19 0.8398 0.0667 0.9504
O20 0.8398 0.9333 0.4504

Peak list (10 most intense, 5 to 70 degrees two-theta, in order of rising 2θ)
| 2θ (°) | d/Å | I_rel |
| --- | --- | --- |
| 19.7 | 4.517 | 33.2 |
| 23.8 | 3.741 | 100.0 |
| 26.0 | 3.429 | 50.8 |
| 28.5 | 3.131 | 72.9 |
| 29.5 | 3.030 | 22.7 |
| 31.0 | 2.882 | 49.6 |
| 36.7 | 2.452 | 23.3 |
| 41.9 | 2.158 | 20.0 |
| 48.3 | 1.884 | 30.1 |
| 51.9 | 1.763 | 20.7 |

=====

ZrCdTe2O8: computed powder X-ray diffraction pattern (a wavelength of 1.5418 Å), based on a GGA-PBE-relaxed structure.
Lines closer than 0.1° are merged.

Crystal structure
Unit cell a=6.1348 b=6.1348 c=6.1348 alpha=108.05 beta=108.05 gamma=112.36
Atoms (fractional coordinates):
Zr1 0.0000 0.0000 0.0000
Cd1 0.7500 0.2500 0.5000
Te1 0.2500 0.7500 0.5000
Te2 0.5000 0.5000 0.0000
O1 0.0542 0.3471 0.2929
O2 0.0542 0.7614 0.7071
O3 0.1183 0.2997 0.8186
O4 0.2386 0.9458 0.2929
O5 0.4811 0.2997 0.1814
O6 0.6529 0.9458 0.7071
O7 0.7003 0.5189 0.8186
O8 0.7003 0.8817 0.1814

Peak list (10 most intense, 5 to 70 degrees two-theta, in order of rising 2θ)
| 2θ (°) | d/Å | I_rel |
| --- | --- | --- |
| 24.7 | 3.604 | 100.0 |
| 31.5 | 2.837 | 83.0 |
| 35.2 | 2.548 | 22.1 |
| 48.0 | 1.896 | 66.4 |
| 50.7 | 1.802 | 16.8 |
| 53.7 | 1.707 | 6.0 |
| 57.2 | 1.612 | 15.1 |
| 60.0 | 1.543 | 15.4 |
| 60.9 | 1.521 | 19.3 |
| 65.8 | 1.418 | 10.4 |

=====

TiCd2O4: computed powder X-ray diffraction pattern (a wavelength of 1.5418 Å), based on a GGA-PBE-relaxed structure.
Lines closer than 0.1° are merged.

Crystal structure
Unit cell a=7.9479 b=6.8362 c=6.1026 alpha=75.56 beta=56.40 gamma=48.04
Atoms (fractional coordinates):
Ti1 0.1250 0.1250 0.1250
Ti2 0.8750 0.8750 0.8750
Cd1 0.1917 0.5583 0.1917
Cd2 0.4417 0.8083 0.4417
Cd3 0.5583 0.1917 0.5583
Cd4 0.8083 0.4417 0.8083
O1 0.1580 0.2510 0.3198
O2 0.2288 0.6802 0.7490
O3 0.2510 0.1580 0.7712
O4 0.3198 0.7712 0.1580
O5 0.6802 0.2288 0.8420
O6 0.7490 0.8420 0.2288
O7 0.7712 0.3198 0.2510
O8 0.8420 0.7490 0.6802

Peak list (10 most intense, 5 to 70 degrees two-theta, in order of rising 2θ)
| 2θ (°) | d/Å | I_rel |
| --- | --- | --- |
| 22.6 | 3.929 | 27.6 |
| 29.6 | 3.014 | 44.2 |
| 30.3 | 2.952 | 100.0 |
| 31.5 | 2.844 | 83.3 |
| 37.0 | 2.427 | 37.0 |
| 48.1 | 1.890 | 33.3 |
| 50.6 | 1.805 | 25.9 |
| 53.8 | 1.705 | 22.9 |
| 55.3 | 1.661 | 28.5 |
| 69.1 | 1.359 | 14.0 |

=====

Ti2CdO6: computed powder X-ray diffraction pattern (a wavelength of 1.5418 Å), based on a GGA-PBE-relaxed structure.
Lines closer than 0.1° are merged.

Crystal structure
Unit cell a=5.2141 b=5.2141 c=4.6832 alpha=90.00 beta=90.00 gamma=120.00
Atoms (fractional coordinates):
Ti1 0.3333 0.6667 0.0000
Ti2 0.6667 0.3333 0.0000
Cd1 0.0000 0.0000 0.5000
O1 0.0000 0.3617 0.2212
O2 0.0000 0.6383 0.7788
O3 0.3617 0.0000 0.2212
O4 0.3617 0.3617 0.7788
O5 0.6383 0.0000 0.7788
O6 0.6383 0.6383 0.2212

Peak list (10 most intense, 5 to 70 degrees two-theta, in order of rising 2θ)
| 2θ (°) | d/Å | I_rel |
| --- | --- | --- |
| 19.7 | 4.516 | 12.4 |
| 27.4 | 3.251 | 100.0 |
| 34.4 | 2.607 | 26.2 |
| 39.6 | 2.278 | 9.8 |
| 43.5 | 2.079 | 6.1 |
| 44.6 | 2.034 | 23.9 |
| 52.5 | 1.742 | 35.4 |
| 57.5 | 1.604 | 22.7 |
| 61.6 | 1.505 | 13.5 |
| 63.0 | 1.475 | 7.9 |